For LiAcZn2Au5, the PBE geometry in Alexandria gives the theoretical XRD peak list in this record (λ = 1.5418 Å (Cu Kα)).

Largest 6 diffraction maxima, sorted by position, 2θ from 10° to 90°:
27.83°, I = 42.8, (1 1 1)
34.56°, I = 100.0, (1 1 2)
35.98°, I = 73.6, (2 0 0)
51.18°, I = 35.1, (2 0 3)
51.79°, I = 26.3, (2 2 0)
63.76°, I = 35.1, (3 1 2)

Crystal structure
Lattice parameters (Å, degrees): 4.993 4.993 7.659 90.00 90.00 90.00
Space group P4/mmm (No. 123)
Inequivalent atoms, fractional coordinates:
1 Li 0.000 0.000 0.000
2 Ac 0.000 0.000 0.500
3 Zn 0.500 0.500 0.160
4 Au 0.000 0.500 0.211
5 Au 0.500 0.500 0.500